Entry 1:
Computed powder diffractogram
Compound: Ca3BCBr2N
Radiation: Cu Kα, 1.54184 Å
Structure: a structure optimized by DFT (GGA-PBE)

Structural model:
Lattice parameters (Å, degrees): 14.5472 3.9238 11.4389 90.00 90.00 90.00
Element x y z (fractional)
Ca  0.1086  0.2500  0.1425
Ca  0.1432  0.7500  0.4307
Ca  0.1927  0.7500  0.8003
Ca  0.3073  0.2500  0.3003
Ca  0.3568  0.2500  0.9307
Ca  0.3914  0.7500  0.6425
Ca  0.6086  0.2500  0.3575
Ca  0.6432  0.7500  0.0693
Ca  0.6927  0.7500  0.6997
Ca  0.8073  0.2500  0.1997
Ca  0.8568  0.2500  0.5693
Ca  0.8914  0.7500  0.8575
B  0.2437  0.7500  0.1014
B  0.2563  0.2500  0.6014
B  0.7437  0.7500  0.3986
B  0.7563  0.2500  0.8986
C  0.2068  0.7500  0.2197
C  0.2932  0.2500  0.7197
C  0.7068  0.7500  0.2803
C  0.7932  0.2500  0.7803
Br  0.0114  0.7500  0.6390
Br  0.0556  0.2500  0.8937
Br  0.4444  0.7500  0.3937
Br  0.4886  0.2500  0.1390
Br  0.5114  0.7500  0.8610
Br  0.5556  0.2500  0.6063
Br  0.9444  0.7500  0.1063
Br  0.9886  0.2500  0.3610
N  0.2299  0.2500  0.4867
N  0.2701  0.7500  0.9867
N  0.7299  0.2500  0.0133
N  0.7701  0.7500  0.5133

Peak list (12 most intense, 2θ = 10–90°, low angle first)
- 12.17 deg, I 43, hkl 2 0 0
- 28.26 deg, I 42, hkl 1 1 2
- 29.81 deg, I 29, hkl 3 0 3
- 30.33 deg, I 69, hkl 3 1 1
- 31.28 deg, I 25, hkl 0 0 4
- 33.29 deg, I 100, hkl 3 1 2
- 33.64 deg, I 65, hkl 2 0 4
- 34.07 deg, I 18, hkl 4 0 3
- 37.77 deg, I 15, hkl 3 1 3
- 37.93 deg, I 18, hkl 6 0 1
- 44.29 deg, I 19, hkl 7 0 1
- 46.30 deg, I 41, hkl 0 2 0

---

Entry 2:
Computed powder diffractogram
Compound: Ce6B2C3Br3
Radiation: Cu Kα, 1.54184 Å
Structure: a structure optimized by DFT (GGA-PBE)

Structural model:
Lattice parameters (Å, degrees): 8.6279 3.6758 10.1669 90.00 114.43 90.00
Element x y z (fractional)
Ce  0.0577  0.0000  0.3419
Ce  0.2896  0.5000  0.9838
Ce  0.3689  0.0000  0.7200
Ce  0.6311  0.0000  0.2800
Ce  0.7104  0.5000  0.0162
Ce  0.9423  0.0000  0.6581
B  0.1015  0.5000  0.5644
B  0.8985  0.5000  0.4356
C  0.1662  0.5000  0.7294
C  0.5000  0.0000  0.0000
C  0.8338  0.5000  0.2706
Br  0.0000  0.0000  0.0000
Br  0.3516  0.5000  0.3140
Br  0.6484  0.5000  0.6860

Peak list (12 most intense, 2θ = 10–90°, low angle first)
- 26.08 deg, I 36, hkl 0 1 1
- 28.11 deg, I 29, hkl 2 0 1
- 28.94 deg, I 91, hkl 0 0 3
- 31.07 deg, I 31, hkl 0 1 2
- 31.99 deg, I 100, hkl 2 1 -1
- 33.39 deg, I 47, hkl 2 1 0
- 34.24 deg, I 36, hkl 3 0 0
- 34.57 deg, I 46, hkl 3 0 -3
- 36.05 deg, I 55, hkl 1 1 -3
- 43.50 deg, I 34, hkl 2 1 2
- 51.02 deg, I 32, hkl 2 1 3
- 61.67 deg, I 36, hkl 1 1 -6

---

Entry 3:
Computed powder diffractogram
Compound: La3BC2Br2
Radiation: Cu Kα, 1.54184 Å
Structure: a structure optimized by DFT (GGA-PBE)

Structural model:
Lattice parameters (Å, degrees): 15.4812 3.9971 11.5386 90.00 90.00 90.00
Element x y z (fractional)
La  0.1381  0.2500  0.1224
La  0.1604  0.7500  0.4467
La  0.1696  0.7500  0.8007
La  0.3304  0.2500  0.3007
La  0.3396  0.2500  0.9467
La  0.3619  0.7500  0.6224
La  0.6381  0.2500  0.3776
La  0.6604  0.7500  0.0533
La  0.6696  0.7500  0.6993
La  0.8304  0.2500  0.1993
La  0.8396  0.2500  0.5533
La  0.8619  0.7500  0.8776
B  0.2456  0.2500  0.6246
B  0.2544  0.7500  0.1246
B  0.7456  0.2500  0.8754
B  0.7544  0.7500  0.3754
C  0.2243  0.7500  0.2478
C  0.2317  0.7500  0.9991
C  0.2683  0.2500  0.4991
C  0.2757  0.2500  0.7478
C  0.7243  0.7500  0.2522
C  0.7317  0.7500  0.5009
C  0.7683  0.2500  0.0009
C  0.7757  0.2500  0.7522
Br  0.0113  0.2500  0.3654
Br  0.0282  0.2500  0.8850
Br  0.4718  0.7500  0.3850
Br  0.4887  0.7500  0.8654
Br  0.5113  0.2500  0.1346
Br  0.5282  0.2500  0.6150
Br  0.9718  0.7500  0.1150
Br  0.9887  0.7500  0.6346

Peak list (12 most intense, 2θ = 10–90°, low angle first)
- 23.56 deg, I 16, hkl 0 1 1
- 24.26 deg, I 20, hkl 1 1 1
- 25.87 deg, I 29, hkl 2 0 3
- 28.95 deg, I 28, hkl 3 0 3
- 32.19 deg, I 19, hkl 4 1 0
- 32.30 deg, I 100, hkl 3 1 2
- 32.83 deg, I 16, hkl 4 0 3
- 33.14 deg, I 14, hkl 2 0 4
- 34.77 deg, I 19, hkl 6 0 0
- 40.28 deg, I 16, hkl 2 1 4
- 45.38 deg, I 25, hkl 0 2 0
- 52.97 deg, I 14, hkl 2 2 3